Structure and computed XRD peak list of Fe2Tc2Ge (a structure optimized by DFT (GGA-PBE); Cu Kα X-rays).

Structure:
Unit cell a=3.1768 b=3.1768 c=13.5818 alpha=90.00 beta=90.00 gamma=90.00
Space group I4/mmm (No. 139)
One atom of each set of equivalent atoms:
1 Fe 0.0000 0.5000 0.2500 (multiplicity 4)
2 Tc 0.0000 0.0000 0.1049 (multiplicity 4)
3 Ge 0.0000 0.0000 0.5000 (multiplicity 2)

Most intense lines, 10 to 90 degrees two-theta, in order of falling intensity:
h k l	d [Å]	2theta	intensity
1 0 5	2.065	43.85	100
1 1 2	2.133	42.38	87
1 0 3	2.600	34.49	63
1 1 4	1.873	48.60	46
2 0 0	1.588	58.07	43
2 1 5	1.259	75.52	38
1 0 1	3.093	28.86	30
1 1 10	1.162	83.10	28
1 1 0	2.246	40.14	22
2 1 3	1.355	69.33	17

Structure and computed XRD peak list of YInSn (a structure optimized by DFT (GGA-PBE); Cu Kα X-rays).

Structure:
Unit cell a=4.5404 b=16.1608 c=4.3084 alpha=90.00 beta=90.00 gamma=90.00
Space group Cmcm (No. 63)
One atom of each set of equivalent atoms:
1 Y 0.0000 0.0912 0.2500 (multiplicity 4)
2 In 0.0000 0.2556 0.7500 (multiplicity 4)
3 Sn 0.0000 0.4302 0.2500 (multiplicity 4)

Most intense lines, 10 to 90 degrees two-theta, in order of falling intensity:
h k l	d [Å]	2theta	intensity
1 3 1	2.703	33.14	100
0 6 0	2.693	33.26	22
2 0 0	2.270	39.70	16
1 9 1	1.557	59.36	14
0 0 2	2.154	41.94	13
3 3 1	1.380	67.91	12
2 6 0	1.736	52.73	12
1 3 3	1.327	71.03	11
0 6 2	1.682	54.55	11
2 6 2	1.352	69.55	11

Structure and computed XRD peak list of Mg4Zr2Cd (a structure optimized by DFT (GGA-PBE); Cu Kα X-rays).

Structure:
Unit cell a=3.1262 b=32.0568 c=3.1472 alpha=90.00 beta=90.00 gamma=90.00
Space group Cmmm (No. 65)
One atom of each set of equivalent atoms:
1 Mg 0.0000 0.0658 0.0000 (multiplicity 4)
2 Mg 0.0000 0.3625 0.5000 (multiplicity 4)
3 Zr 0.0000 0.2096 0.0000 (multiplicity 4)
4 Cd 0.0000 0.5000 0.5000 (multiplicity 2)

Most intense lines, 10 to 90 degrees two-theta, in order of falling intensity:
h k l	d [Å]	2theta	intensity
0 4 0	8.014	11.04	100
1 7 0	2.582	34.74	83
0 2 1	3.088	28.91	48
0 8 1	2.475	36.30	39
1 1 1	2.213	40.78	39
1 5 1	2.096	43.16	35
1 7 2	1.343	70.04	29
1 3 0	3.000	29.78	27
0 14 0	2.290	39.35	26
1 15 1	1.539	60.12	22

Structure and computed XRD peak list of TmB6Mo2 (a structure optimized by DFT (GGA-PBE); Cu Kα X-rays).

Structure:
Unit cell a=5.3493 b=5.3493 c=3.4654 alpha=90.00 beta=90.00 gamma=120.00
Space group P6/mmm (No. 191)
One atom of each set of equivalent atoms:
1 Tm 0.0000 0.0000 0.0000 (multiplicity 1)
2 B 0.0000 0.3390 0.5000 (multiplicity 6)
3 Mo 0.3333 0.6667 0.0000 (multiplicity 2)

Most intense lines, 10 to 90 degrees two-theta, in order of falling intensity:
h k l	d [Å]	2theta	intensity
1 1 1	2.117	42.70	100
1 1 0	2.675	33.50	76
0 0 1	3.465	25.71	42
1 1 2	1.454	64.03	24
3 0 0	1.544	59.90	20
3 0 1	1.411	66.26	19
2 2 1	1.248	76.33	18
3 0 2	1.153	83.94	16
1 0 0	4.633	19.16	12
0 0 2	1.733	52.84	10